# 1
This entry pairs a crystal structure of Zn2Cu2Ni5 with its simulated XRD peak list. Radiation: CuKα. Structure: a PBE-relaxed structure.
No peak broadening, texture or thermal motion is included.

Structure:
a b c (Å): 5.7116 5.7116 5.6812
angles (deg): 107.80 107.80 36.46
Atoms (fractional coordinates):
Zn: 0.0545 0.0545 0.3258
Zn: 0.9455 0.9455 0.6742
Cu: 0.2765 0.2765 0.6710
Cu: 0.7235 0.7235 0.3290
Ni: 0.1695 0.1695 0.9990
Ni: 0.3881 0.3881 0.3284
Ni: 0.5000 0.5000 0.0000
Ni: 0.6119 0.6119 0.6716
Ni: 0.8305 0.8305 0.0010

Peak list (8 most intense, 2θ = 15–90°, in order of rising 2θ)
d 2.076, 43.6 deg, I 1000; d 2.071, 43.7 deg, I 994; d 1.808, 50.5 deg, I 317; d 1.793, 50.9 deg, I 307; d 1.787, 51.1 deg, I 306; d 1.276, 74.4 deg, I 90; d 1.271, 74.7 deg, I 269; d 1.266, 75.1 deg, I 176

---

# 2
This entry pairs a crystal structure of Ba6Na23Cd with its simulated XRD peak list. Radiation: CuKα. Structure: a PBE-relaxed structure.
No peak broadening, texture or thermal motion is included.

Structure:
a b c (Å): 12.1288 12.1288 12.1288
angles (deg): 60.00 60.00 60.00
Atoms (fractional coordinates):
Ba: 0.2025 0.2025 0.7975
Ba: 0.2025 0.7975 0.2025
Ba: 0.2025 0.7975 0.7975
Ba: 0.7975 0.2025 0.2025
Ba: 0.7975 0.2025 0.7975
Ba: 0.7975 0.7975 0.2025
Na: 0.0000 0.0000 0.5000
Na: 0.0000 0.5000 0.0000
Na: 0.0000 0.5000 0.5000
Na: 0.1442 0.6186 0.6186
Na: 0.1714 0.1714 0.1714
Na: 0.1714 0.1714 0.4857
Na: 0.1714 0.4857 0.1714
Na: 0.3814 0.3814 0.3814
Na: 0.3814 0.3814 0.8558
Na: 0.3814 0.8558 0.3814
Na: 0.4857 0.1714 0.1714
Na: 0.5000 0.0000 0.0000
Na: 0.5000 0.0000 0.5000
Na: 0.5000 0.5000 0.0000
Na: 0.5000 0.5000 0.5000
Na: 0.5143 0.8286 0.8286
Na: 0.6186 0.1442 0.6186
Na: 0.6186 0.6186 0.1442
Na: 0.6186 0.6186 0.6186
Na: 0.8286 0.5143 0.8286
Na: 0.8286 0.8286 0.5143
Na: 0.8286 0.8286 0.8286
Na: 0.8558 0.3814 0.3814
Cd: 0.0000 0.0000 0.0000

Peak list (8 most intense, 2θ = 15–90°, in order of rising 2θ)
d 4.952, 17.9 deg, I 258; d 4.288, 20.7 deg, I 358; d 3.301, 27.0 deg, I 1000; d 3.032, 29.5 deg, I 693; d 2.402, 37.4 deg, I 305; d 2.021, 44.8 deg, I 255; d 1.981, 45.8 deg, I 220; d 1.658, 55.4 deg, I 252

---

Which formula does entry 2 have?
Ba6Na23Cd